1.
BiSb4Pd15: calculated X-ray diffraction stick pattern (Cu Ka), based on a structure optimized by DFT (PBE).

a b c (Å): 4.083 4.083 20.290
angles (deg): 90.00 90.00 90.00
Space group P4/mmm (No. 123)
One atom of each set of equivalent atoms:
Bi (0.000, 0.000, 0.000) x1
Sb (0.000, 0.000, 0.203) x2
Sb (0.000, 0.000, 0.401) x2
Pd (0.000, 0.500, 0.105) x4
Pd (0.000, 0.500, 0.302) x4
Pd (0.000, 0.500, 0.500) x2
Pd (0.500, 0.500, 0.000) x1
Pd (0.500, 0.500, 0.203) x2
Pd (0.500, 0.500, 0.401) x2

Top 10 peaks for 2θ = 10–90°, sorted by position:
- 21.8 deg, 4.083 Å, I = 1
- 31.0 deg, 2.881 Å, I = 1
- 38.3 deg, 2.353 Å, I = 100
- 44.4 deg, 2.042 Å, I = 33
- 44.7 deg, 2.029 Å, I = 16
- 64.6 deg, 1.444 Å, I = 11
- 64.8 deg, 1.439 Å, I = 20
- 77.6 deg, 1.230 Å, I = 25
- 78.0 deg, 1.225 Å, I = 11
- 81.9 deg, 1.176 Å, I = 11


2.
Bi2Pd8Se: calculated X-ray diffraction stick pattern (Cu Ka), based on a structure optimized by DFT (PBE).

a b c (Å): 15.233 4.679 6.059
angles (deg): 90.00 113.33 90.00
Space group C2/m (No. 12)
One atom of each set of equivalent atoms:
Bi (0.179, 0.000, 0.179) x4
Pd (0.000, 0.000, 0.264) x4
Pd (0.135, 0.500, 0.893) x4
Pd (0.136, 0.500, 0.380) x4
Pd (0.188, 0.000, 0.689) x4
Se (0.000, 0.500, 0.500) x2

Top 10 peaks for 2θ = 10–90°, sorted by position:
- 24.1 deg, 3.698 Å, I = 19
- 32.2 deg, 2.780 Å, I = 14
- 37.5 deg, 2.401 Å, I = 28
- 38.5 deg, 2.340 Å, I = 34
- 38.6 deg, 2.331 Å, I = 18
- 40.4 deg, 2.232 Å, I = 100
- 55.7 deg, 1.651 Å, I = 12
- 61.2 deg, 1.515 Å, I = 14
- 70.9 deg, 1.329 Å, I = 19
- 74.7 deg, 1.271 Å, I = 25


3.
BiPdSe2: calculated X-ray diffraction stick pattern (Cu Ka), based on a structure optimized by DFT (PBE).

a b c (Å): 7.723 7.355 7.741
angles (deg): 90.00 90.00 90.00
Space group Pna2_1 (No. 33)
One atom of each set of equivalent atoms:
Bi (0.105, 0.192, 0.000) x4
Pd (0.096, 0.597, 0.953) x4
Se (0.083, 0.121, 0.394) x4
Se (0.113, 0.601, 0.280) x4

Top 10 peaks for 2θ = 10–90°, sorted by position:
- 23.0 deg, 3.869 Å, I = 100
- 25.8 deg, 3.456 Å, I = 84
- 26.8 deg, 3.320 Å, I = 68
- 29.3 deg, 3.052 Å, I = 43
- 35.0 deg, 2.563 Å, I = 48
- 35.6 deg, 2.519 Å, I = 39
- 38.5 deg, 2.337 Å, I = 37
- 42.1 deg, 2.146 Å, I = 46
- 42.9 deg, 2.109 Å, I = 49
- 44.5 deg, 2.037 Å, I = 38


4.
BiPd8Se2: calculated X-ray diffraction stick pattern (Cu Ka), based on a structure optimized by DFT (PBE).

a b c (Å): 4.579 6.764 7.233
angles (deg): 116.67 103.74 94.95
Space group P-1 (No. 2)
One atom of each set of equivalent atoms:
Bi (0.000, 0.000, 0.000) x1
Pd (0.078, 0.509, 0.200) x2
Pd (0.203, 0.980, 0.381) x2
Pd (0.292, 0.772, 0.673) x2
Pd (0.453, 0.257, 0.927) x2
Se (0.353, 0.392, 0.649) x2

Top 10 peaks for 2θ = 10–90°, sorted by position:
- 32.7 deg, 2.736 Å, I = 27
- 35.1 deg, 2.559 Å, I = 35
- 36.3 deg, 2.473 Å, I = 87
- 38.1 deg, 2.364 Å, I = 25
- 39.0 deg, 2.309 Å, I = 90
- 39.1 deg, 2.305 Å, I = 31
- 39.3 deg, 2.292 Å, I = 78
- 39.6 deg, 2.278 Å, I = 100
- 40.7 deg, 2.219 Å, I = 57
- 40.8 deg, 2.212 Å, I = 66


5.
BiPdSe2: calculated X-ray diffraction stick pattern (Cu Ka), based on a structure optimized by DFT (PBE).

a b c (Å): 3.7409 3.7409 25.8049
angles (deg): 90.00 90.00 120.00
Space group R-3m (No. 166, hexagonal axes)
One atom of each set of equivalent atoms:
Bi (0.0000, 0.0000, 0.0000) x3
Pd (0.0000, 0.0000, 0.5000) x3
Se (0.0000, 0.0000, 0.1141) x6

Top 10 peaks for 2θ = 10–90°, sorted by position:
- 20.7 deg, 4.301 Å, I = 40
- 27.8 deg, 3.215 Å, I = 44
- 28.4 deg, 3.142 Å, I = 100
- 30.9 deg, 2.895 Å, I = 18
- 39.4 deg, 2.286 Å, I = 75
- 44.9 deg, 2.018 Å, I = 44
- 48.7 deg, 1.870 Å, I = 45
- 53.4 deg, 1.715 Å, I = 20
- 64.4 deg, 1.448 Å, I = 18
- 85.3 deg, 1.138 Å, I = 18


6.
SiBi2Pd8: calculated X-ray diffraction stick pattern (Cu Ka), based on a structure optimized by DFT (PBE).

a b c (Å): 15.019 4.574 5.964
angles (deg): 90.00 111.55 90.00
Space group C2/m (No. 12)
One atom of each set of equivalent atoms:
Si (0.000, 0.000, 0.000) x2
Bi (0.180, 0.500, 0.681) x4
Pd (0.008, 0.500, 0.777) x4
Pd (0.113, 0.000, 0.395) x4
Pd (0.137, 0.000, 0.904) x4
Pd (0.190, 0.500, 0.217) x4

Top 10 peaks for 2θ = 10–90°, sorted by position:
- 32.3 deg, 2.773 Å, I = 18
- 33.1 deg, 2.710 Å, I = 29
- 36.7 deg, 2.447 Å, I = 21
- 37.7 deg, 2.384 Å, I = 91
- 38.7 deg, 2.328 Å, I = 23
- 39.4 deg, 2.287 Å, I = 68
- 40.5 deg, 2.226 Å, I = 100
- 41.5 deg, 2.176 Å, I = 79
- 72.2 deg, 1.308 Å, I = 20
- 76.3 deg, 1.248 Å, I = 26